(1)
For Y4Tm5Zr, DFT lattice parameters and positions (PBE) gives the theoretical X-ray diffraction stick pattern in this record (a wavelength of 1.5418 Å).
Intensities are scaled so that the largest is 100.

```
Y4Tm5Zr
1.0
6.050 0.000 0.000
0.000 3.482 0.000
-2.045 0.000 14.223
Y Tm Zr
4 5 1
direct
0.098 0.000 0.308
0.394 0.500 0.696
0.606 0.500 0.304
0.902 0.000 0.692
0.200 0.500 0.099
0.300 0.000 0.901
0.500 0.000 0.500
0.700 0.000 0.099
0.800 0.500 0.901
0.000 0.500 0.500
```

Peak list (10 most intense, 2θ = 10–90°, sorted by position)
| 2theta | intensity |
| --- | --- |
| 31.4 | 100 |
| 36.4 | 17 |
| 36.5 | 33 |
| 52.5 | 23 |
| 52.6 | 12 |
| 62.4 | 10 |
| 62.5 | 17 |
| 62.5 | 14 |
| 65.6 | 9 |
| 86.0 | 8 |

(2)
For Li4CaZn2Ag, DFT lattice parameters and positions (PBE) gives the theoretical X-ray diffraction stick pattern in this record (a wavelength of 1.5418 Å).
Intensities are scaled so that the largest is 100.

```
Li4CaZn2Ag
1.0
2.248 1.298 8.593
-2.248 1.298 8.593
0.000 -2.595 8.593
Li Ca Zn Ag
4 1 2 1
direct
0.099 0.099 0.099
0.366 0.366 0.366
0.634 0.634 0.634
0.901 0.901 0.901
0.500 0.500 0.500
0.258 0.258 0.258
0.742 0.742 0.742
0.000 0.000 0.000
```

Peak list (10 most intense, 2θ = 10–90°, sorted by position)
| 2theta | intensity |
| --- | --- |
| 10.3 | 35 |
| 26.8 | 100 |
| 36.2 | 52 |
| 40.1 | 44 |
| 42.1 | 9 |
| 48.9 | 18 |
| 55.1 | 15 |
| 59.5 | 18 |
| 65.0 | 15 |
| 70.3 | 13 |

Repeat the first record exactly.
For Y4Tm5Zr, DFT lattice parameters and positions (PBE) gives the theoretical X-ray diffraction stick pattern in this record (a wavelength of 1.5418 Å).
Intensities are scaled so that the largest is 100.

```
Y4Tm5Zr
1.0
6.050 0.000 0.000
0.000 3.482 0.000
-2.045 0.000 14.223
Y Tm Zr
4 5 1
direct
0.098 0.000 0.308
0.394 0.500 0.696
0.606 0.500 0.304
0.902 0.000 0.692
0.200 0.500 0.099
0.300 0.000 0.901
0.500 0.000 0.500
0.700 0.000 0.099
0.800 0.500 0.901
0.000 0.500 0.500
```

Peak list (10 most intense, 2θ = 10–90°, sorted by position)
| 2theta | intensity |
| --- | --- |
| 31.4 | 100 |
| 36.4 | 17 |
| 36.5 | 33 |
| 52.5 | 23 |
| 52.6 | 12 |
| 62.4 | 10 |
| 62.5 | 17 |
| 62.5 | 14 |
| 65.6 | 9 |
| 86.0 | 8 |

Number 2 is which compound?
Li4CaZn2Ag

Repeat the second record exactly.
For Li4CaZn2Ag, DFT lattice parameters and positions (PBE) gives the theoretical X-ray diffraction stick pattern in this record (a wavelength of 1.5418 Å).
Intensities are scaled so that the largest is 100.

```
Li4CaZn2Ag
1.0
2.248 1.298 8.593
-2.248 1.298 8.593
0.000 -2.595 8.593
Li Ca Zn Ag
4 1 2 1
direct
0.099 0.099 0.099
0.366 0.366 0.366
0.634 0.634 0.634
0.901 0.901 0.901
0.500 0.500 0.500
0.258 0.258 0.258
0.742 0.742 0.742
0.000 0.000 0.000
```

Peak list (10 most intense, 2θ = 10–90°, sorted by position)
| 2theta | intensity |
| --- | --- |
| 10.3 | 35 |
| 26.8 | 100 |
| 36.2 | 52 |
| 40.1 | 44 |
| 42.1 | 9 |
| 48.9 | 18 |
| 55.1 | 15 |
| 59.5 | 18 |
| 65.0 | 15 |
| 70.3 | 13 |